Diffraction record for DyYTm2C3. The powder diffractogram is theoretical, not measured: it uses a structure optimized by DFT (GGA-PBE) and Cu Ka.
Lines closer than 0.1° are merged.

Main lines, sorted by position (5° ≤ 2θ ≤ 70°):
2theta	I_rel
28.4	33
30.6	62
32.1	86
32.7	100
32.9	44
34.0	33

Crystal structure
Cell lengths 6.7225, 6.7225, 6.0365 Å; angles 114.39, 114.39, 31.73 degrees
Sites, in units of the cell vectors:
1 Dy 0.0000 0.0000 0.0000
2 Y 0.2706 0.2706 0.9862
3 Tm 0.5014 0.5014 0.5484
4 Tm 0.7695 0.7695 0.4387
5 C 0.3558 0.3558 0.6978
6 C 0.6351 0.6351 0.9937
7 C 0.9156 0.9156 0.2888



Diffraction record for SmCoSiGe2. The powder diffractogram is theoretical, not measured: it uses a structure optimized by DFT (GGA-PBE) and Cu Ka.
Lines closer than 0.1° are merged.

Main lines, sorted by position (5° ≤ 2θ ≤ 70°):
2theta	I_rel
22.8	31
34.8	48
35.1	100
42.5	50
56.1	24
65.5	19

Crystal structure
Cell lengths 5.7088, 5.7088, 5.7088 Å; angles 136.28, 136.28, 63.55 degrees
Sites, in units of the cell vectors:
1 Sm 0.0000 0.0000 0.0000
2 Co 0.3420 0.3420 0.0000
3 Si 0.5681 0.5681 0.0000
4 Ge 0.2396 0.7396 0.5000
5 Ge 0.7396 0.2396 0.5000



Diffraction record for KSmPbSe4. The powder diffractogram is theoretical, not measured: it uses a structure optimized by DFT (GGA-PBE) and Cu Ka.
Lines closer than 0.1° are merged.

Main lines, sorted by position (5° ≤ 2θ ≤ 70°):
2theta	I_rel
10.1	100
15.8	56
27.7	36
30.0	43
30.3	51
36.0	42

Crystal structure
Cell lengths 7.2020, 7.2787, 9.1991 Å; angles 90.00, 107.89, 90.00 degrees
Sites, in units of the cell vectors:
1 K 0.2414 0.0000 0.4389
2 K 0.7586 0.5000 0.5611
3 Sm 0.2771 0.9869 0.9501
4 Sm 0.7229 0.4869 0.0499
5 Pb 0.2680 0.4647 0.1712
6 Pb 0.7320 0.9647 0.8288
7 Se 0.0291 0.3503 0.9052
8 Se 0.0408 0.4258 0.3421
9 Se 0.4506 0.7084 0.7799
10 Se 0.4883 0.2485 0.7900
11 Se 0.5117 0.7485 0.2100
12 Se 0.5494 0.2084 0.2201
13 Se 0.9592 0.9258 0.6579
14 Se 0.9709 0.8503 0.0948



Diffraction record for Nb3TlSi5. The powder diffractogram is theoretical, not measured: it uses a structure optimized by DFT (GGA-PBE) and Cu Ka.
Lines closer than 0.1° are merged.

Main lines, sorted by position (5° ≤ 2θ ≤ 70°):
2theta	I_rel
22.8	100
27.7	35
34.6	59
36.7	54
46.1	28
46.5	79

Crystal structure
Cell lengths 5.6605, 5.6605, 6.4478 Å; angles 90.00, 90.00, 120.00 degrees
Sites, in units of the cell vectors:
1 Nb 0.0000 0.5000 0.0000
2 Nb 0.5000 0.0000 0.0000
3 Nb 0.5000 0.5000 0.0000
4 Tl 0.0000 0.0000 0.5000
5 Si 0.0000 0.0000 0.0000
6 Si 0.3333 0.6667 0.3186
7 Si 0.3333 0.6667 0.6814
8 Si 0.6667 0.3333 0.3186
9 Si 0.6667 0.3333 0.6814



Diffraction record for TaRe2Bi. The powder diffractogram is theoretical, not measured: it uses a structure optimized by DFT (GGA-PBE) and Cu Ka.
Lines closer than 0.1° are merged.

Main lines, sorted by position (5° ≤ 2θ ≤ 70°):
2theta	I_rel
38.6	100
55.7	18
69.8	36

Crystal structure
Cell lengths 4.6680, 4.6680, 4.6680 Å; angles 60.00, 60.00, 60.00 degrees
Sites, in units of the cell vectors:
1 Ta 0.0000 0.0000 0.0000
2 Re 0.2500 0.2500 0.2500
3 Re 0.5000 0.5000 0.5000
4 Bi 0.7500 0.7500 0.7500



Diffraction record for Ni17Sn. The powder diffractogram is theoretical, not measured: it uses a structure optimized by DFT (GGA-PBE) and Cu Ka.
Lines closer than 0.1° are merged.

Main lines, sorted by position (5° ≤ 2θ ≤ 70°):
2theta	I_rel
5.7	100
43.7	20
43.8	18
44.7	76
45.8	24
51.8	43

Crystal structure
Cell lengths 4.9515, 4.9515, 31.0837 Å; angles 90.00, 90.00, 120.00 degrees
Sites, in units of the cell vectors:
1 Ni 0.0000 0.0000 0.0000
2 Ni 0.0000 0.0000 0.1945
3 Ni 0.0000 0.0000 0.3892
4 Ni 0.0000 0.5000 0.1946
5 Ni 0.0021 0.5010 0.3897
6 Ni 0.1658 0.3315 0.9357
7 Ni 0.1658 0.8342 0.9357
8 Ni 0.1668 0.3336 0.1299
9 Ni 0.1670 0.3340 0.3247
10 Ni 0.1668 0.8332 0.1299
11 Ni 0.1670 0.8330 0.3247
12 Ni 0.3316 0.1658 0.4536
13 Ni 0.3333 0.1667 0.2593
14 Ni 0.3333 0.6667 0.0647
15 Ni 0.3333 0.6667 0.2593
16 Ni 0.3340 0.1670 0.0647
17 Ni 0.4990 0.5010 0.3897
18 Ni 0.4990 0.9979 0.3897
19 Ni 0.5000 0.0000 0.1946
20 Ni 0.5000 0.5000 0.1946
21 Ni 0.5010 0.0021 0.9994
22 Ni 0.5010 0.4990 0.9994
23 Ni 0.6664 0.8332 0.1299
24 Ni 0.6660 0.8330 0.3247
25 Ni 0.6667 0.3333 0.1300
26 Ni 0.6667 0.3333 0.3248
27 Ni 0.6685 0.8342 0.9357
28 Ni 0.8330 0.1670 0.0647
29 Ni 0.8333 0.1667 0.2593
30 Ni 0.8330 0.6660 0.0647
31 Ni 0.8333 0.6667 0.2593
32 Ni 0.8342 0.1658 0.4536
33 Ni 0.8342 0.6684 0.4536
34 Ni 0.9979 0.4990 0.9994
35 Sn 0.3333 0.6667 0.4757
36 Sn 0.6667 0.3333 0.9138



Diffraction record for Ta3Nb2B6. The powder diffractogram is theoretical, not measured: it uses a structure optimized by DFT (GGA-PBE) and Cu Ka.
Lines closer than 0.1° are merged.

Main lines, sorted by position (5° ≤ 2θ ≤ 70°):
2theta	I_rel
28.1	71
34.5	99
39.6	30
41.3	100
41.9	63
67.3	29

Crystal structure
Cell lengths 11.5018, 11.5018, 3.3043 Å; angles 90.00, 90.00, 164.20 degrees
Sites, in units of the cell vectors:
1 Ta 0.0000 0.0000 0.0000
2 Ta 0.1946 0.8054 0.5000
3 Ta 0.8054 0.1946 0.5000
4 Nb 0.3855 0.6145 0.0000
5 Nb 0.6145 0.3855 0.0000
6 B 0.0819 0.9181 0.5000
7 B 0.2730 0.7270 0.0000
8 B 0.4606 0.5394 0.5000
9 B 0.5394 0.4606 0.5000
10 B 0.7270 0.2730 0.0000
11 B 0.9181 0.0819 0.5000



Diffraction record for Tm6SiNi2. The powder diffractogram is theoretical, not measured: it uses a structure optimized by DFT (GGA-PBE) and Cu Ka.
Lines closer than 0.1° are merged.

Main lines, sorted by position (5° ≤ 2θ ≤ 70°):
2theta	I_rel
31.9	100
34.9	39
36.5	36
41.6	23
57.7	20
66.4	19

Crystal structure
Cell lengths 7.5211, 7.5211, 4.2019 Å; angles 90.00, 90.00, 120.00 degrees
Sites, in units of the cell vectors:
1 Tm 0.0000 0.2696 0.0000
2 Tm 0.0000 0.6012 0.5000
3 Tm 0.2696 0.0000 0.0000
4 Tm 0.3988 0.3988 0.5000
5 Tm 0.6012 0.0000 0.5000
6 Tm 0.7304 0.7304 0.0000
7 Si 0.0000 0.0000 0.5000
8 Ni 0.3333 0.6667 0.0000
9 Ni 0.6667 0.3333 0.0000